Starting from a GGA-PBE-relaxed structure, the PXRD pattern of La5Tb4Sc2 was calculated for CuKα.
Intensities are scaled so that the largest is 100.

Structure:
Unit cell a=8.838 b=3.556 c=11.449 alpha=90.00 beta=91.89 gamma=90.00
Atoms (fractional coordinates):
La (0.000, 0.000, 0.000)
La (0.096, 0.500, 0.272)
La (0.462, 0.500, 0.366)
La (0.538, 0.500, 0.634)
La (0.904, 0.500, 0.728)
Tb (0.188, 0.000, 0.564)
Tb (0.289, 0.500, 0.850)
Tb (0.711, 0.500, 0.150)
Tb (0.812, 0.000, 0.436)
Sc (0.377, 0.000, 0.103)
Sc (0.623, 0.000, 0.897)

Main lines, by angle (2θ from 10° to 80°):
2θ 29.6, rel. 33; 2θ 31.1, rel. 100; 2θ 31.5, rel. 43; 2θ 32.6, rel. 37; 2θ 33.4, rel. 49; 2θ 48.7, rel. 19

***

Starting from a GGA-PBE-relaxed structure, the PXRD pattern of LaTb6Sc3 was calculated for CuKα.
Intensities are scaled so that the largest is 100.

Structure:
Unit cell a=6.744 b=6.744 c=6.744 alpha=91.48 beta=91.48 gamma=91.48
Atoms (fractional coordinates):
La (0.000, 0.000, 0.000)
Tb (0.001, 0.341, 0.659)
Tb (0.167, 0.834, 0.501)
Tb (0.341, 0.659, 0.001)
Tb (0.501, 0.167, 0.834)
Tb (0.659, 0.001, 0.341)
Tb (0.834, 0.501, 0.167)
Sc (0.260, 0.260, 0.260)
Sc (0.499, 0.499, 0.499)
Sc (0.738, 0.738, 0.738)

Main lines, by angle (2θ from 10° to 80°):
2θ 30.0, rel. 100; 2θ 32.1, rel. 90; 2θ 44.5, rel. 34; 2θ 55.9, rel. 34; 2θ 57.2, rel. 17; 2θ 58.9, rel. 24

***

Starting from a GGA-PBE-relaxed structure, the PXRD pattern of La5Tb6Sc2 was calculated for CuKα.
Intensities are scaled so that the largest is 100.

Structure:
Unit cell a=11.475 b=20.698 c=3.634 alpha=90.00 beta=90.00 gamma=90.00
Atoms (fractional coordinates):
La (0.000, 0.000, 0.000)
La (0.060, 0.425, 0.000)
La (0.152, 0.725, 0.000)
La (0.348, 0.225, 0.000)
La (0.440, 0.925, 0.000)
La (0.500, 0.500, 0.000)
La (0.560, 0.075, 0.000)
La (0.652, 0.775, 0.000)
La (0.848, 0.275, 0.000)
La (0.940, 0.575, 0.000)
Tb (0.078, 0.156, 0.000)
Tb (0.169, 0.883, 0.500)
Tb (0.227, 0.557, 0.500)
Tb (0.273, 0.057, 0.500)
Tb (0.331, 0.383, 0.500)
Tb (0.422, 0.656, 0.000)
Tb (0.578, 0.344, 0.000)
Tb (0.669, 0.617, 0.500)
Tb (0.727, 0.943, 0.500)
Tb (0.773, 0.443, 0.500)
Tb (0.831, 0.117, 0.500)
Tb (0.922, 0.844, 0.000)
Sc (0.110, 0.286, 0.500)
Sc (0.390, 0.786, 0.500)
Sc (0.610, 0.214, 0.500)
Sc (0.890, 0.714, 0.500)

Main lines, by angle (2θ from 10° to 80°):
2θ 29.1, rel. 87; 2θ 30.4, rel. 35; 2θ 31.1, rel. 45; 2θ 31.2, rel. 49; 2θ 31.5, rel. 37; 2θ 31.9, rel. 100

***

Starting from a GGA-PBE-relaxed structure, the PXRD pattern of LaTbTmSc3 was calculated for CuKα.
Intensities are scaled so that the largest is 100.

Structure:
Unit cell a=6.492 b=6.584 c=8.440 alpha=77.32 beta=78.46 gamma=83.55
Atoms (fractional coordinates):
La (0.019, 0.276, 0.158)
La (0.981, 0.724, 0.842)
Tb (0.486, 0.609, 0.811)
Tb (0.514, 0.391, 0.189)
Tm (0.273, 0.951, 0.479)
Tm (0.727, 0.049, 0.521)
Sc (0.138, 0.772, 0.185)
Sc (0.244, 0.439, 0.541)
Sc (0.372, 0.099, 0.854)
Sc (0.628, 0.901, 0.146)
Sc (0.756, 0.561, 0.459)
Sc (0.862, 0.228, 0.815)

Main lines, by angle (2θ from 10° to 80°):
2θ 15.8, rel. 100; 2θ 28.3, rel. 55; 2θ 31.9, rel. 39; 2θ 32.1, rel. 100; 2θ 32.6, rel. 55; 2θ 33.2, rel. 65

***

What is the formula in the fourth record?
LaTbTmSc3